# 1
Structure and calculated powder XRD pattern of MgGeS3O12 (DFT lattice parameters and positions (PBE); Cu Kα (λ = 1.5418 Å)).

Most intense lines, 10 to 90 degrees two-theta, sorted by position:
| 2theta | I (rel.) |
| --- | --- |
| 14.55 | 64 |
| 20.30 | 37 |
| 20.97 | 11 |
| 24.32 | 100 |
| 29.34 | 36 |
| 32.48 | 45 |
| 33.34 | 9 |
| 36.74 | 12 |
| 49.83 | 13 |
| 53.46 | 13 |

Cell: 8.4729 8.4729 21.8024 Å, 90.00 90.00 120.00°
Space group R3c (No. 161, hexagonal axes)
One atom of each set of equivalent atoms:
Mg1 0.0000 0.0000 0.0000 x6
Ge1 0.0000 0.0000 0.2913 x6
S1 0.0113 0.2959 0.3943 x18
O1 0.0121 0.2027 0.0505 x18
O2 0.0543 0.2185 0.3366 x18
O3 0.1497 0.4668 0.1141 x18
O4 0.1841 0.4788 0.3999 x18

***

# 2
Structure and calculated powder XRD pattern of ThFeCo4 (DFT lattice parameters and positions (PBE); Cu Kα (λ = 1.5418 Å)).

Most intense lines, 10 to 90 degrees two-theta, sorted by position:
| 2theta | I (rel.) |
| --- | --- |
| 20.47 | 18 |
| 30.42 | 76 |
| 35.85 | 39 |
| 41.64 | 39 |
| 42.60 | 100 |
| 45.40 | 23 |
| 59.16 | 18 |
| 61.09 | 22 |
| 63.29 | 23 |
| 69.08 | 23 |

Cell: 5.0091 5.0091 3.9956 Å, 90.00 90.00 120.00°
Space group P-6m2 (No. 187)
One atom of each set of equivalent atoms:
Th1 0.0000 0.0000 0.0000 x1
Fe1 0.3333 0.6667 0.0000 x1
Co1 0.5010 0.0021 0.5000 x3
Co2 0.6667 0.3333 0.0000 x1

***

# 3
Structure and calculated powder XRD pattern of Fe11S12 (DFT lattice parameters and positions (PBE); Cu Kα (λ = 1.5418 Å)).

Most intense lines, 10 to 90 degrees two-theta, sorted by position:
| 2theta | I (rel.) |
| --- | --- |
| 31.26 | 87 |
| 31.47 | 47 |
| 35.40 | 44 |
| 35.90 | 51 |
| 36.01 | 51 |
| 46.39 | 92 |
| 47.02 | 100 |
| 47.36 | 96 |
| 55.51 | 30 |
| 55.91 | 72 |

Cell: 6.6238 11.3692 16.0841 Å, 90.00 100.58 90.00°
Space group Cc (No. 9)
One atom of each set of equivalent atoms:
Fe1 0.0000 0.0962 0.0000 x4
Fe2 0.0264 0.1136 0.1729 x4
Fe3 0.0782 0.4022 0.6604 x4
Fe4 0.1271 0.3563 0.8305 x4
Fe5 0.2197 0.1436 0.3477 x4
Fe6 0.2941 0.3923 0.1641 x4
Fe7 0.2946 0.3767 0.9985 x4
Fe8 0.3324 0.1464 0.8104 x4
Fe9 0.3701 0.1370 0.6477 x4
Fe10 0.4191 0.3527 0.3310 x4
Fe11 0.4842 0.1237 0.9801 x4
S1 0.0413 0.4559 0.0634 x4
S2 0.0520 0.0500 0.5887 x4
S3 0.0776 0.2197 0.7285 x4
S4 0.1046 0.2887 0.2539 x4
S5 0.2010 0.0385 0.9070 x4
S6 0.2084 0.4624 0.4144 x4
S7 0.2751 0.3066 0.5738 x4
S8 0.2827 0.1965 0.0778 x4
S9 0.3465 0.4638 0.7603 x4
S10 0.3522 0.0347 0.2509 x4
S11 0.4543 0.2888 0.9053 x4
S12 0.4758 0.2169 0.4303 x4

***

# 4
Structure and calculated powder XRD pattern of Sm2In3Cu (DFT lattice parameters and positions (PBE); Cu Kα (λ = 1.5418 Å)).

Most intense lines, 10 to 90 degrees two-theta, sorted by position:
| 2theta | I (rel.) |
| --- | --- |
| 24.61 | 12 |
| 32.08 | 100 |
| 37.86 | 73 |
| 41.91 | 17 |
| 50.45 | 28 |
| 62.65 | 12 |
| 64.77 | 26 |
| 68.38 | 12 |
| 80.91 | 8 |
| 89.70 | 11 |

Cell: 4.7525 4.7525 7.5901 Å, 90.00 90.00 120.00°
Space group P3m1 (No. 156)
One atom of each set of equivalent atoms:
Sm1 0.0000 0.0000 0.0000 x1
Sm2 0.0000 0.0000 0.4606 x1
In1 0.3333 0.6667 0.6719 x1
In2 0.6667 0.3333 0.2206 x1
In3 0.6667 0.3333 0.7876 x1
Cu1 0.3333 0.6667 0.2780 x1

***

# 5
Structure and calculated powder XRD pattern of Ho3Ge4Pd4 (DFT lattice parameters and positions (PBE); Cu Kα (λ = 1.5418 Å)).

Most intense lines, 10 to 90 degrees two-theta, sorted by position:
| 2theta | I (rel.) |
| --- | --- |
| 33.74 | 100 |
| 34.47 | 30 |
| 35.82 | 84 |
| 38.48 | 24 |
| 38.64 | 17 |
| 42.82 | 33 |
| 43.38 | 39 |
| 46.72 | 16 |
| 51.45 | 18 |
| 62.59 | 21 |

Cell: 4.1720 7.1078 13.9814 Å, 90.00 90.00 90.00°
Space group Immm (No. 71)
One atom of each set of equivalent atoms:
Ho1 0.0000 0.0000 0.0000 x2
Ho2 0.0000 0.5000 0.1259 x4
Ge1 0.0000 0.0000 0.2173 x4
Ge2 0.0000 0.1889 0.5000 x4
Pd1 0.0000 0.2984 0.3244 x8

***

# 6
Structure and calculated powder XRD pattern of Pr4Se3O10F6 (DFT lattice parameters and positions (PBE); Cu Kα (λ = 1.5418 Å)).

Most intense lines, 10 to 90 degrees two-theta, sorted by position:
| 2theta | I (rel.) |
| --- | --- |
| 24.54 | 89 |
| 24.73 | 32 |
| 27.08 | 35 |
| 27.66 | 94 |
| 28.94 | 100 |
| 30.63 | 60 |
| 44.85 | 42 |
| 45.02 | 61 |
| 45.17 | 27 |
| 50.86 | 29 |

Cell: 7.1998 8.4407 11.8770 Å, 98.67 107.64 90.00°
Space group P1 (No. 1)
One atom of each set of equivalent atoms:
Pr1 0.0000 0.0000 0.0000 x1
Pr2 0.0009 0.8051 0.3094 x1
Pr3 0.1683 0.2969 0.3120 x1
Pr4 0.2659 0.3669 0.8307 x1
Pr5 0.4258 0.8642 0.8257 x1
Pr6 0.4408 0.6645 0.1433 x1
Pr7 0.5655 0.1609 0.1436 x1
Pr8 0.8685 0.5011 0.9959 x1
Se1 0.1098 0.0788 0.5739 x1
Se2 0.3321 0.5777 0.5695 x1
Se3 0.5415 0.9686 0.3832 x1
Se4 0.7000 0.4600 0.3821 x1
Se5 0.7346 0.1930 0.7579 x1
Se6 0.8828 0.6933 0.7539 x1
O1 0.0099 0.2562 0.6085 x1
O2 0.0745 0.8370 0.8263 x1
O3 0.1361 0.5913 0.4449 x1
O4 0.1771 0.0861 0.4438 x1
O5 0.2640 0.5769 0.6925 x1
O6 0.3032 0.0805 0.6948 x1
O7 0.3512 0.8178 0.3136 x1
O8 0.4277 0.4177 0.5308 x1
O9 0.4539 0.1398 0.3384 x1
O10 0.4712 0.4351 0.2797 x1
O11 0.4720 0.7554 0.6114 x1
O12 0.6046 0.3368 0.8265 x1
O13 0.6785 0.9295 0.2850 x1
O14 0.6954 0.0272 0.8065 x1
O15 0.7394 0.6356 0.3351 x1
O16 0.7559 0.7305 0.8636 x1
O17 0.8305 0.3202 0.3153 x1
O18 0.9628 0.9151 0.5288 x1
O19 0.9651 0.2329 0.8636 x1
O20 0.9730 0.5238 0.8072 x1
F1 0.0105 0.0339 0.2167 x1
F2 0.0675 0.7525 0.0750 x1
F3 0.0691 0.5355 0.2164 x1
F4 0.2057 0.4647 0.0180 x1
F5 0.2342 0.1934 0.1219 x1
F6 0.3580 0.1252 0.9267 x1
F7 0.3614 0.9138 0.0588 x1
F8 0.4321 0.6318 0.9254 x1
F9 0.5631 0.4151 0.0658 x1
F10 0.6881 0.9661 0.0203 x1
F11 0.7585 0.6997 0.1274 x1
F12 0.8684 0.2499 0.0741 x1

***

Repeat the sixth record exactly.
Structure and calculated powder XRD pattern of Pr4Se3O10F6 (DFT lattice parameters and positions (PBE); Cu Kα (λ = 1.5418 Å)).

Most intense lines, 10 to 90 degrees two-theta, sorted by position:
| 2theta | I (rel.) |
| --- | --- |
| 24.54 | 89 |
| 24.73 | 32 |
| 27.08 | 35 |
| 27.66 | 94 |
| 28.94 | 100 |
| 30.63 | 60 |
| 44.85 | 42 |
| 45.02 | 61 |
| 45.17 | 27 |
| 50.86 | 29 |

Cell: 7.1998 8.4407 11.8770 Å, 98.67 107.64 90.00°
Space group P1 (No. 1)
One atom of each set of equivalent atoms:
Pr1 0.0000 0.0000 0.0000 x1
Pr2 0.0009 0.8051 0.3094 x1
Pr3 0.1683 0.2969 0.3120 x1
Pr4 0.2659 0.3669 0.8307 x1
Pr5 0.4258 0.8642 0.8257 x1
Pr6 0.4408 0.6645 0.1433 x1
Pr7 0.5655 0.1609 0.1436 x1
Pr8 0.8685 0.5011 0.9959 x1
Se1 0.1098 0.0788 0.5739 x1
Se2 0.3321 0.5777 0.5695 x1
Se3 0.5415 0.9686 0.3832 x1
Se4 0.7000 0.4600 0.3821 x1
Se5 0.7346 0.1930 0.7579 x1
Se6 0.8828 0.6933 0.7539 x1
O1 0.0099 0.2562 0.6085 x1
O2 0.0745 0.8370 0.8263 x1
O3 0.1361 0.5913 0.4449 x1
O4 0.1771 0.0861 0.4438 x1
O5 0.2640 0.5769 0.6925 x1
O6 0.3032 0.0805 0.6948 x1
O7 0.3512 0.8178 0.3136 x1
O8 0.4277 0.4177 0.5308 x1
O9 0.4539 0.1398 0.3384 x1
O10 0.4712 0.4351 0.2797 x1
O11 0.4720 0.7554 0.6114 x1
O12 0.6046 0.3368 0.8265 x1
O13 0.6785 0.9295 0.2850 x1
O14 0.6954 0.0272 0.8065 x1
O15 0.7394 0.6356 0.3351 x1
O16 0.7559 0.7305 0.8636 x1
O17 0.8305 0.3202 0.3153 x1
O18 0.9628 0.9151 0.5288 x1
O19 0.9651 0.2329 0.8636 x1
O20 0.9730 0.5238 0.8072 x1
F1 0.0105 0.0339 0.2167 x1
F2 0.0675 0.7525 0.0750 x1
F3 0.0691 0.5355 0.2164 x1
F4 0.2057 0.4647 0.0180 x1
F5 0.2342 0.1934 0.1219 x1
F6 0.3580 0.1252 0.9267 x1
F7 0.3614 0.9138 0.0588 x1
F8 0.4321 0.6318 0.9254 x1
F9 0.5631 0.4151 0.0658 x1
F10 0.6881 0.9661 0.0203 x1
F11 0.7585 0.6997 0.1274 x1
F12 0.8684 0.2499 0.0741 x1